# 1
Simulated powder XRD pattern of La5GdMg6Ag6 for copper Kα, from DFT lattice parameters and positions (PBE).
No peak broadening, texture or thermal motion is included.

Principal peaks in the range 10° ≤ 2θ ≤ 90°, by angle:
22.68°, rel. 32.2; 26.24°, rel. 21.4; 30.70°, rel. 74.8; 33.48°, rel. 100.0; 34.95°, rel. 21.3; 39.82°, rel. 27.1; 40.82°, rel. 24.9; 41.55°, rel. 22.8; 48.28°, rel. 11.7; 52.95°, rel. 15.0; 55.39°, rel. 11.2; 63.37°, rel. 14.2

Structural model:
Cell: 7.849 4.347 13.573 Å, 90.00 90.12 90.00°
Fractional coordinates of all 18 atoms:
La1 0.000 0.000 0.000
La2 0.001 0.000 0.418
La3 0.124 0.000 0.707
La4 0.501 0.000 0.915
La5 0.625 0.000 0.211
Gd1 0.501 0.000 0.502
Mg1 0.328 0.500 0.091
Mg2 0.330 0.500 0.331
Mg3 0.471 0.500 0.705
Mg4 0.823 0.500 0.588
Mg5 0.827 0.500 0.826
Mg6 0.971 0.500 0.210
Ag1 0.209 0.000 0.210
Ag2 0.209 0.500 0.874
Ag3 0.218 0.500 0.541
Ag4 0.702 0.500 0.381
Ag5 0.706 0.000 0.705
Ag6 0.709 0.500 0.043


# 2
Simulated powder XRD pattern of YZr for copper Kα, from DFT lattice parameters and positions (PBE).
No peak broadening, texture or thermal motion is included.

Principal peaks in the range 10° ≤ 2θ ≤ 90°, by angle:
30.33°, rel. 27.9; 33.21°, rel. 40.4; 34.35°, rel. 51.3; 34.68°, rel. 100.0; 45.59°, rel. 17.6; 53.41°, rel. 14.3; 54.11°, rel. 9.7; 60.08°, rel. 9.7; 60.29°, rel. 19.2; 64.36°, rel. 15.9; 64.99°, rel. 10.9; 65.68°, rel. 14.7

Structural model:
Cell: 3.390 5.395 11.933 Å, 90.00 90.00 90.00°
Fractional coordinates of all 8 atoms:
Y1 0.250 0.250 0.055
Y2 0.250 0.750 0.224
Y3 0.750 0.250 0.776
Y4 0.750 0.750 0.945
Zr1 0.250 0.250 0.533
Zr2 0.250 0.750 0.687
Zr3 0.750 0.250 0.313
Zr4 0.750 0.750 0.467


# 3
Simulated powder XRD pattern of Cu4Ag for copper Kα, from DFT lattice parameters and positions (PBE).
No peak broadening, texture or thermal motion is included.

Principal peaks in the range 10° ≤ 2θ ≤ 90°, by angle:
41.80°, rel. 100.0; 42.05°, rel. 33.0; 48.60°, rel. 41.8; 48.97°, rel. 21.5; 71.08°, rel. 5.9; 71.25°, rel. 18.4; 71.69°, rel. 12.4; 85.97°, rel. 14.2; 86.17°, rel. 7.0; 86.40°, rel. 10.8; 86.67°, rel. 7.1; 87.03°, rel. 3.6

Structural model:
Cell: 7.016 7.016 4.549 Å, 96.15 96.15 141.88°
Fractional coordinates of all 10 atoms:
Cu1 0.000 0.000 0.000
Cu2 0.099 0.901 0.500
Cu3 0.199 0.801 0.000
Cu4 0.293 0.707 0.500
Cu5 0.500 0.500 0.500
Cu6 0.707 0.293 0.500
Cu7 0.801 0.199 0.000
Cu8 0.901 0.099 0.500
Ag1 0.396 0.604 0.000
Ag2 0.604 0.396 0.000


# 4
Simulated powder XRD pattern of HfAuC for copper Kα, from DFT lattice parameters and positions (PBE).
No peak broadening, texture or thermal motion is included.

Principal peaks in the range 10° ≤ 2θ ≤ 90°, by angle:
21.34°, rel. 100.0; 31.85°, rel. 85.0; 38.66°, rel. 90.6; 43.46°, rel. 18.2; 45.66°, rel. 31.5; 50.93°, rel. 41.7; 54.88°, rel. 36.6; 64.87°, rel. 22.2; 70.78°, rel. 15.9; 75.69°, rel. 14.3; 76.55°, rel. 12.9; 79.71°, rel. 23.3

Structural model:
Cell: 3.974 3.974 4.164 Å, 90.00 90.00 90.00°
Fractional coordinates of all 3 atoms:
Hf1 0.000 0.000 0.000
Au1 0.500 0.500 0.000
C1 0.000 0.000 0.500


# 5
Simulated powder XRD pattern of CdNiAg2SeS3 for copper Kα, from DFT lattice parameters and positions (PBE).
No peak broadening, texture or thermal motion is included.

Principal peaks in the range 10° ≤ 2θ ≤ 90°, by angle:
27.18°, rel. 97.1; 27.34°, rel. 100.0; 31.70°, rel. 19.1; 45.19°, rel. 95.8; 45.65°, rel. 18.3; 53.27°, rel. 14.7; 53.36°, rel. 12.5; 53.68°, rel. 26.3; 53.94°, rel. 24.4; 66.23°, rel. 9.9; 72.71°, rel. 15.4; 84.08°, rel. 9.8

Structural model:
Cell: 8.016 7.950 6.975 Å, 90.00 125.03 90.00°
Fractional coordinates of all 16 atoms:
Cd1 0.000 0.000 0.000
Cd2 0.500 0.500 0.000
Ni1 0.010 0.500 0.994
Ni2 0.510 0.000 0.994
Ag1 0.010 0.236 0.514
Ag2 0.010 0.764 0.514
Ag3 0.510 0.264 0.514
Ag4 0.510 0.736 0.514
Se1 0.409 0.000 0.242
Se2 0.909 0.500 0.242
S1 0.339 0.500 0.230
S2 0.391 0.221 0.773
S3 0.391 0.779 0.773
S4 0.839 0.000 0.230
S5 0.891 0.279 0.773
S6 0.891 0.721 0.773


# 6
Simulated powder XRD pattern of CdI6 for copper Kα, from DFT lattice parameters and positions (PBE).
No peak broadening, texture or thermal motion is included.

Principal peaks in the range 10° ≤ 2θ ≤ 90°, by angle:
12.96°, rel. 47.4; 13.63°, rel. 57.5; 17.97°, rel. 49.7; 20.97°, rel. 100.0; 21.97°, rel. 23.6; 22.34°, rel. 72.7; 29.55°, rel. 31.9; 34.73°, rel. 40.8; 36.41°, rel. 40.8; 36.62°, rel. 71.1; 36.91°, rel. 26.2; 42.69°, rel. 27.7

Structural model:
Cell: 6.513 7.986 8.127 Å, 63.44 86.39 86.25°
Fractional coordinates of all 7 atoms:
Cd1 0.000 0.000 0.000
I1 0.107 0.417 0.898
I2 0.215 0.844 0.335
I3 0.296 0.163 0.674
I4 0.704 0.837 0.326
I5 0.785 0.156 0.665
I6 0.893 0.583 0.102